Structure and theoretical powder XRD pattern of TbY3Er2 (DFT lattice parameters and positions (PBE); Cu Kα).
Lines closer than 0.1° are merged.

The 6 most intense peaks (10 to 90 degrees two-theta), low angle first:
d/Å  I_rel
2.897  100
2.509  50
1.774  35
1.513  42
1.151  14
1.122  16

Structure:
```
TbY3Er2
1.0
8.6954 -3.5479 0.0000
8.6954 3.5479 0.0000
-0.0011 0.0000 6.1410
Tb Y Er
2 6 4
Direct
0.1253 0.8747 0.7500 Tb
0.8747 0.1253 0.2500 Tb
0.0421 0.2922 0.9166 Y
0.2922 0.0421 0.4166 Y
0.3751 0.6249 0.2500 Y
0.6249 0.3751 0.7500 Y
0.7078 0.9579 0.5834 Y
0.9579 0.7078 0.0834 Y
0.2082 0.4579 0.5829 Er
0.4579 0.2082 0.0829 Er
0.5421 0.7918 0.9171 Er
0.7918 0.5421 0.4171 Er
```

Structure and theoretical powder XRD pattern of SrMgCd5Ag2 (DFT lattice parameters and positions (PBE); Cu Kα).
Lines closer than 0.1° are merged.

The 6 most intense peaks (10 to 90 degrees two-theta), low angle first:
d/Å  I_rel
5.307  34
2.764  87
2.654  100
1.901  30
1.876  35
1.553  29

Structure:
```
SrMgCd5Ag2
1.0
5.3075 0.0000 0.0000
0.0000 5.3075 0.0000
0.0000 0.0000 8.1723
Sr Mg Cd Ag
1 1 5 2
Direct
0.0000 0.0000 0.0000 Sr
0.0000 0.0000 0.5000 Mg
0.0000 0.5000 0.2719 Cd
0.0000 0.5000 0.7281 Cd
0.5000 0.0000 0.2719 Cd
0.5000 0.0000 0.7281 Cd
0.5000 0.5000 0.0000 Cd
0.5000 0.5000 0.3377 Ag
0.5000 0.5000 0.6623 Ag
```